Simulated PXRD pattern
Compound: K2InCuCl6
Radiation: Cu Kα
Structure: DFT lattice parameters and positions (PBE)
Neutral-atom scattering factors, no anomalous dispersion.

Crystal structure
Cell lengths 10.174, 10.174, 10.174 Å; angles 90.00, 90.00, 90.00 degrees
Space group Fm-3m (No. 225)
Unique sites:
K (0.250, 0.250, 0.250) (multiplicity 8)
In (0.000, 0.000, 0.000) (multiplicity 4)
Cu (0.000, 0.000, 0.500) (multiplicity 4)
Cl (0.000, 0.000, 0.253) (multiplicity 24)

Top 12 peaks for 2θ = 10–90°, by intensity:
| (hkl) | 2theta | I (rel.) |
| --- | --- | --- |
| 4 0 0 | 35.29 | 100 |
| 2 2 0 | 24.75 | 84 |
| 2 0 0 | 17.43 | 80 |
| 4 4 0 | 50.76 | 64 |
| 4 2 0 | 39.61 | 39 |
| 4 2 2 | 43.58 | 37 |
| 8 4 0 | 85.33 | 26 |
| 4 4 4 | 63.33 | 21 |
| 6 0 0 | 54.08 | 19 |
| 6 4 2 | 69.09 | 17 |
| 6 2 0 | 57.27 | 16 |
| 2 2 2 | 30.43 | 11 |